Computed XRD peak list of V3Se4O2 for λ = 1.5418 Å (Cu Kα), from a crystal structure in Alexandria, relaxed with PBE+U.
Lines closer than 0.1° are merged.

Crystal structure
Cell lengths 3.1673, 3.1673, 19.2556 Å; angles 90.00, 90.00, 120.00 degrees
Space group P3m1 (No. 156)
One atom of each set of equivalent atoms:
V1 0.0000 0.0000 0.0000 x1
V2 0.0000 0.0000 0.3190 x1
V3 0.6667 0.3333 0.7035 x1
Se1 0.0000 0.0000 0.6157 x1
Se2 0.0000 0.0000 0.7910 x1
Se3 0.6667 0.3333 0.2316 x1
Se4 0.6667 0.3333 0.4067 x1
O1 0.6667 0.3333 0.0573 x1
O2 0.6667 0.3333 0.9420 x1

Main lines, by angle (10° ≤ 2θ ≤ 90°):
2θ (°), I (rel.)
13.80, 557
23.10, 446
32.64, 686
32.98, 416
37.75, 820
40.37, 297
43.40, 1000
46.77, 372
58.26, 465
63.52, 163
75.36, 183
78.14, 149